No. 1
Calculated powder diffraction line list of Nb4Zn5Co2 for Cu Kα (λ = 1.5418 Å), from the GGA-PBE geometry in Alexandria.
Kinematic intensities with the Lorentz-polarization factor, no thermal factor.

Principal peaks in the range 15° ≤ 2θ ≤ 90°, by angle:
40.21°, I 73, (1 1 -2); 40.71°, I 87, (3 0 -1); 40.94°, I 74, (1 1 2); 41.45°, I 100, (2 0 3); 41.97°, I 96, (1 0 -4); 43.75°, I 57, (2 1 1)

Structure:
Cell lengths 6.782, 2.771, 8.934 Å; angles 90.00, 93.02, 90.00 degrees
Space group P2/m (No. 10)
Symmetry-distinct sites (fractional):
Nb (0.147, 0.000, 0.383)
Nb (0.255, 0.000, 0.953)
Zn (0.209, 0.500, 0.668)
Zn (0.434, 0.500, 0.205)
Zn (0.500, 0.500, 0.500)
Co (0.058, 0.500, 0.140)

---

No. 2
Calculated powder diffraction line list of SrTa2SnO7 for Cu Kα (λ = 1.5418 Å), from the GGA-PBE geometry in Alexandria.
Kinematic intensities with the Lorentz-polarization factor, no thermal factor.

Principal peaks in the range 15° ≤ 2θ ≤ 90°, by angle:
22.68°, I 87, (1 0 1); 25.66°, I 55, (1 0 3); 30.81°, I 100, (1 0 5); 32.86°, I 41, (1 1 2); 45.47°, I 46, (2 0 0); 55.93°, I 40, (2 1 5)

Structure:
Cell lengths 3.989, 3.989, 21.149 Å; angles 90.00, 90.00, 90.00 degrees
Space group I-4m2 (No. 119)
Symmetry-distinct sites (fractional):
Sr (0.000, 0.000, 0.000)
Ta (0.000, 0.000, 0.401)
Sn (0.000, 0.500, 0.250)
O (0.000, 0.000, 0.310)
O (0.000, 0.000, 0.500)
O (0.000, 0.500, 0.092)
O (0.000, 0.500, 0.588)

---

No. 3
Calculated powder diffraction line list of Cs2UPb2Se6 for Cu Kα (λ = 1.5418 Å), from the GGA-PBE geometry in Alexandria.
Kinematic intensities with the Lorentz-polarization factor, no thermal factor.

Principal peaks in the range 15° ≤ 2θ ≤ 90°, by angle:
24.68°, I 24, (1 3 -1); 27.14°, I 51, (2 0 -2); 27.82°, I 100, (1 3 1); 37.05°, I 33, (1 3 -3); 37.46°, I 20, (2 0 2); 41.36°, I 35, (3 3 -1)

Structure:
Cell lengths 7.597, 12.927, 8.841 Å; angles 90.00, 107.89, 90.00 degrees
Space group C2/m (No. 12)
Symmetry-distinct sites (fractional):
Cs (0.000, 0.177, 0.000)
U (0.000, 0.000, 0.500)
Pb (0.000, 0.331, 0.500)
Se (0.216, 0.149, 0.686)
Se (0.226, 0.000, 0.316)

---

No. 4
Calculated powder diffraction line list of NiS5 for Cu Kα (λ = 1.5418 Å), from the GGA-PBE geometry in Alexandria.
Kinematic intensities with the Lorentz-polarization factor, no thermal factor.

Principal peaks in the range 15° ≤ 2θ ≤ 90°, by angle:
21.22°, I 94, (0 1 -2); 23.28°, I 95, (0 2 1); 24.68°, I 100, (1 0 -1); 26.50°, I 48, (1 -1 0); 33.19°, I 45, (0 3 0); 36.95°, I 47, (1 3 0)

Structure:
Cell lengths 4.070, 8.231, 10.129 Å; angles 86.36, 84.51, 80.06 degrees
Space group P-1 (No. 2)
Symmetry-distinct sites (fractional):
Ni (0.234, 0.185, 0.228)
S (0.076, 0.606, 0.039)
S (0.240, 0.890, 0.728)
S (0.275, 0.207, 0.012)
S (0.410, 0.481, 0.406)
S (0.412, 0.232, 0.420)

---

No. 5
Calculated powder diffraction line list of Sm8Tm2Sc3 for Cu Kα (λ = 1.5418 Å), from the GGA-PBE geometry in Alexandria.
Kinematic intensities with the Lorentz-polarization factor, no thermal factor.

Principal peaks in the range 15° ≤ 2θ ≤ 90°, by angle:
25.15°, I 30, (2 2 0); 30.25°, I 45, (1 5 1); 31.74°, I 45, (0 6 1); 32.10°, I 49, (0 0 2); 33.92°, I 100, (2 4 1); 58.39°, I 21, (2 4 3)

Structure:
Cell lengths 7.594, 19.601, 5.577 Å; angles 90.00, 90.00, 90.00 degrees
Space group Cmmm (No. 65)
Symmetry-distinct sites (fractional):
Sm (0.000, 0.125, 0.000)
Sm (0.000, 0.330, 0.000)
Sm (0.205, 0.399, 0.500)
Tm (0.000, 0.239, 0.500)
Sc (0.000, 0.000, 0.500)
Sc (0.206, 0.500, 0.000)

---

No. 6
Calculated powder diffraction line list of Nd4Dy2Ho for Cu Kα (λ = 1.5418 Å), from the GGA-PBE geometry in Alexandria.
Kinematic intensities with the Lorentz-polarization factor, no thermal factor.

Principal peaks in the range 15° ≤ 2θ ≤ 90°, by angle:
30.12°, I 100, (1 7 1); 30.64°, I 31, (4 2 0); 31.35°, I 64, (2 0 2); 32.07°, I 33, (3 5 1); 32.23°, I 24, (2 2 2); 36.95°, I 27, (3 7 1)

Structure:
Cell lengths 12.021, 24.314, 6.483 Å; angles 90.00, 90.00, 90.00 degrees
Space group Fdd2 (No. 43)
Symmetry-distinct sites (fractional):
Nd (0.052, 0.430, 0.000)
Nd (0.068, 0.356, 0.469)
Dy (0.024, 0.285, 0.946)
Ho (0.000, 0.000, 0.005)

---

No. 7
Calculated powder diffraction line list of Ca7CdN2 for Cu Kα (λ = 1.5418 Å), from the GGA-PBE geometry in Alexandria.
Kinematic intensities with the Lorentz-polarization factor, no thermal factor.

Principal peaks in the range 15° ≤ 2θ ≤ 90°, by angle:
18.18°, I 58, (1 3 0); 25.73°, I 45, (1 1 1); 29.00°, I 100, (2 4 0); 29.40°, I 91, (1 3 1); 30.49°, I 78, (0 4 1); 31.23°, I 65, (2 0 1)

Structure:
Cell lengths 8.489, 17.897, 3.881 Å; angles 90.00, 90.00, 90.00 degrees
Space group Cmmm (No. 65)
Symmetry-distinct sites (fractional):
Ca (0.000, 0.000, 0.000)
Ca (0.000, 0.204, 0.500)
Ca (0.221, 0.375, 0.000)
Cd (0.000, 0.500, 0.500)
N (0.000, 0.131, 0.000)

---

No. 8
Calculated powder diffraction line list of AcAu6 for Cu Kα (λ = 1.5418 Å), from the GGA-PBE geometry in Alexandria.
Kinematic intensities with the Lorentz-polarization factor, no thermal factor.

Principal peaks in the range 15° ≤ 2θ ≤ 90°, by angle:
33.08°, I 53, (1 0 4); 34.32°, I 100, (3 1 1); 34.44°, I 51, (2 1 3); 37.26°, I 38, (2 2 1); 40.02°, I 53, (1 2 3); 40.52°, I 40, (2 1 4)

Structure:
Cell lengths 9.039, 5.898, 11.355 Å; angles 90.00, 90.00, 90.00 degrees
Space group Pnma (No. 62)
Symmetry-distinct sites (fractional):
Ac (0.237, 0.250, 0.064)
Au (0.060, 0.012, 0.306)
Au (0.074, 0.750, 0.088)
Au (0.103, 0.250, 0.520)
Au (0.150, 0.750, 0.851)
Au (0.184, 0.250, 0.771)

---

No. 9
Calculated powder diffraction line list of LiTb2IrO5 for Cu Kα (λ = 1.5418 Å), from the GGA-PBE geometry in Alexandria.
Kinematic intensities with the Lorentz-polarization factor, no thermal factor.

Principal peaks in the range 15° ≤ 2θ ≤ 90°, by angle:
17.48°, I 87, (0 1 1); 31.27°, I 27, (0 2 0); 31.85°, I 100, (1 1 2); 33.21°, I 23, (1 0 3); 44.11°, I 25, (0 1 5); 46.26°, I 34, (1 2 3)

Structure:
Cell lengths 3.984, 5.720, 10.997 Å; angles 90.00, 90.00, 90.00 degrees
Space group Immm (No. 71)
Symmetry-distinct sites (fractional):
Li (0.000, 0.000, 0.000)
Tb (0.000, 0.500, 0.210)
Ir (0.000, 0.000, 0.500)
O (0.000, 0.230, 0.353)
O (0.000, 0.500, 0.000)

---

No. 10
Calculated powder diffraction line list of ZrNiP for Cu Kα (λ = 1.5418 Å), from the GGA-PBE geometry in Alexandria.
Kinematic intensities with the Lorentz-polarization factor, no thermal factor.

Principal peaks in the range 15° ≤ 2θ ≤ 90°, by angle:
37.23°, I 100, (1 1 3); 38.16°, I 15, (2 1 -1); 40.79°, I 44, (0 1 4); 40.90°, I 30, (2 1 2); 43.71°, I 32, (1 0 5); 48.78°, I 29, (0 2 0)

Structure:
Cell lengths 6.327, 3.734, 10.981 Å; angles 90.00, 90.28, 90.00 degrees
Space group P2_1/m (No. 11)
Symmetry-distinct sites (fractional):
Zr (0.018, 0.250, 0.121)
Zr (0.157, 0.250, 0.423)
Zr (0.473, 0.750, 0.794)
Ni (0.134, 0.250, 0.694)
Ni (0.345, 0.750, 0.046)
Ni (0.492, 0.750, 0.412)
P (0.225, 0.750, 0.253)
P (0.271, 0.750, 0.589)
P (0.279, 0.250, 0.929)

---

No. 11
Calculated powder diffraction line list of Mg5Ru for Cu Kα (λ = 1.5418 Å), from the GGA-PBE geometry in Alexandria.
Kinematic intensities with the Lorentz-polarization factor, no thermal factor.

Principal peaks in the range 15° ≤ 2θ ≤ 90°, by angle:
17.53°, I 42, (2 0 0); 18.38°, I 27, (2 0 -1); 37.25°, I 100, (1 1 -2); 37.44°, I 34, (2 0 2); 37.62°, I 69, (3 1 0); 67.65°, I 20, (2 2 2)

Structure:
Cell lengths 10.705, 3.390, 6.876 Å; angles 90.00, 109.00, 90.00 degrees
Space group C2/m (No. 12)
Symmetry-distinct sites (fractional):
Mg (0.000, 0.000, 0.000)
Mg (0.147, 0.500, 0.357)
Mg (0.157, 0.500, 0.795)
Ru (0.000, 0.000, 0.500)

---

No. 12
Calculated powder diffraction line list of MgBCl2 for Cu Kα (λ = 1.5418 Å), from the GGA-PBE geometry in Alexandria.
Kinematic intensities with the Lorentz-polarization factor, no thermal factor.

Principal peaks in the range 15° ≤ 2θ ≤ 90°, by angle:
20.42°, I 100, (1 0 1); 28.53°, I 66, (2 1 1); 31.41°, I 54, (3 1 0); 38.92°, I 24, (1 1 2); 45.01°, I 30, (4 2 0); 45.35°, I 30, (4 1 1)

Structure:
Cell lengths 9.007, 9.007, 4.968 Å; angles 90.00, 90.00, 90.00 degrees
Space group I-42d (No. 122)
Symmetry-distinct sites (fractional):
Mg (0.000, 0.000, 0.000)
B (0.000, 0.000, 0.500)
Cl (0.090, 0.250, 0.125)

---

No. 13
Calculated powder diffraction line list of AlCd4Ag5 for Cu Kα (λ = 1.5418 Å), from the GGA-PBE geometry in Alexandria.
Kinematic intensities with the Lorentz-polarization factor, no thermal factor.

Principal peaks in the range 15° ≤ 2θ ≤ 90°, by angle:
37.79°, I 100, (1 0 5); 38.38°, I 50, (1 1 0); 55.40°, I 16, (2 0 0); 67.84°, I 14, (1 1 10); 69.02°, I 31, (2 1 5); 80.73°, I 9, (2 0 10)

Structure:
Cell lengths 3.317, 3.317, 17.095 Å; angles 90.00, 90.00, 90.00 degrees
Space group P4/mmm (No. 123)
Symmetry-distinct sites (fractional):
Al (0.000, 0.000, 0.000)
Cd (0.000, 0.000, 0.194)
Cd (0.000, 0.000, 0.398)
Ag (0.500, 0.500, 0.088)
Ag (0.500, 0.500, 0.296)
Ag (0.500, 0.500, 0.500)